Theoretical powder X-ray diffraction pattern
Compound: Cs12BiO3
Radiation: λ = 1.5418 Å (Cu Kα)
Structure: the GGA-PBE geometry in Alexandria
Intensities are scaled so that the largest is 100.

Atomic structure:
```
Cs12BiO3
1.0
16.133 0.000 0.000
-8.067 13.972 0.000
0.000 0.000 10.200
Cs Bi O
24 2 6
Direct
0.019 0.816 0.250
0.027 0.486 0.750
0.184 0.203 0.250
0.203 0.019 0.750
0.206 0.756 0.031
0.206 0.756 0.469
0.244 0.450 0.031
0.244 0.450 0.469
0.450 0.206 0.531
0.450 0.206 0.969
0.459 0.973 0.750
0.486 0.459 0.250
0.514 0.541 0.750
0.541 0.027 0.250
0.550 0.794 0.031
0.550 0.794 0.469
0.756 0.550 0.531
0.756 0.550 0.969
0.794 0.244 0.531
0.794 0.244 0.969
0.797 0.981 0.250
0.816 0.797 0.750
0.973 0.514 0.250
0.981 0.184 0.750
0.333 0.667 0.750
0.667 0.333 0.250
0.093 0.703 0.250
0.297 0.390 0.250
0.390 0.093 0.750
0.610 0.907 0.250
0.703 0.610 0.750
0.907 0.297 0.750
```

Most intense lines, 2θ = 10–90°, sorted by position:
d [Å]	I (rel.)	h k l
6.327	27	1 1 1
5.764	23	2 0 1
4.119	22	2 0 2
3.875	29	1 3 0
3.669	100	2 1 2
3.622	30	1 3 1
3.493	22	4 0 0
3.054	17	1 4 0
2.553	26	0 0 4
2.332	16	2 3 3